The following is a theoretical XRD peak list of Sr9Cd4Bi9. It was derived from a PBE-relaxed structure, using copper Kα.
Lines closer than 0.1° are merged.

The 10 most intense peaks (10 to 90 degrees two-theta), in order of rising 2θ:
2θ 22.17, intensity 64, hkl 1 3 1
2θ 22.57, intensity 52, hkl 0 6 0
2θ 22.89, intensity 81, hkl 3 3 0
2θ 27.12, intensity 62, hkl 3 1 1
2θ 27.69, intensity 53, hkl 4 2 0
2θ 29.28, intensity 98, hkl 2 5 1
2θ 29.69, intensity 88, hkl 1 6 1
2θ 32.24, intensity 49, hkl 4 0 1
2θ 36.16, intensity 100, hkl 0 0 2
2θ 37.86, intensity 60, hkl 2 8 1

```
Sr9Cd4Bi9
1.0
13.3942 0.0000 0.0000
0.0000 23.6504 0.0000
0.0000 0.0000 4.9679
Sr Cd Bi
18 8 18
Cartesian
0.0000 0.0000 0.0000
0.9056 9.7281 2.4839
1.7115 5.5714 2.4839
1.7406 20.4627 2.4839
2.7567 14.2645 0.0000
3.9404 2.4393 0.0000
4.9565 8.6375 2.4839
4.9856 17.3966 2.4839
5.7915 21.5533 2.4839
6.6971 11.8252 0.0000
7.6027 2.0971 2.4839
8.4086 6.2539 2.4839
8.4377 15.0130 2.4839
9.4538 21.2111 0.0000
10.6375 9.3859 0.0000
11.6536 3.1877 2.4839
11.6827 18.0791 2.4839
12.4886 13.9223 2.4839
1.4914 18.0200 0.0000
3.0991 10.7606 0.0000
3.5980 22.5858 0.0000
5.2057 6.1948 0.0000
8.1885 17.4556 0.0000
9.7962 1.0646 0.0000
10.2951 12.8898 0.0000
11.9028 5.6304 0.0000
0.0000 11.8252 0.0000
0.6218 3.4378 0.0000
1.5345 16.3801 2.4839
2.5192 0.2829 2.4839
2.5541 7.8357 0.0000
4.1430 19.6609 0.0000
4.1779 12.1081 2.4839
5.1626 4.5549 2.4839
6.0753 15.2630 0.0000
6.6971 0.0000 0.0000
7.3189 8.3874 0.0000
8.2316 19.0955 2.4839
9.2163 11.5423 2.4839
9.2512 3.9895 0.0000
10.8401 15.8148 0.0000
10.8750 23.3675 2.4839
11.8597 7.2703 2.4839
12.7724 20.2126 0.0000
```